Entry 1:
# RbYCo
Theoretical powder diffraction line list, Cu Kα (λ = 1.5418 Å). Input: a GGA-PBE-relaxed structure.
Intensities are scaled so that the largest is 100.

Main lines, low angle first (10 to 90 degrees two-theta):
2theta  I (rel.)  index
21.9  17  1 1 1
25.3  30  2 0 0
36.2  100  2 2 0
42.7  8  3 1 1
44.7  8  2 2 2
52.1  17  4 0 0
57.1  3  3 3 1
58.8  11  4 2 0
65.0  34  4 2 2
76.7  10  4 4 0
82.3  6  6 0 0
87.9  15  6 2 0

Structure:
Cell lengths 7.027, 7.027, 7.027 Å; angles 90.00, 90.00, 90.00 degrees
Space group F-43m (No. 216)
Symmetry-distinct sites (fractional):
Rb1 0.000 0.000 0.000 (multiplicity 4)
Y1 0.000 0.000 0.500 (multiplicity 4)
Co1 0.250 0.250 0.250 (multiplicity 4)

Entry 2:
# Co7Re8
Theoretical powder diffraction line list, Cu Kα (λ = 1.5418 Å). Input: a GGA-PBE-relaxed structure.
Intensities are scaled so that the largest is 100.

Main lines, low angle first (10 to 90 degrees two-theta):
2theta  I (rel.)  index
19.7  25  2 0 0
20.7  19  1 0 1
28.7  22  2 1 1
41.3  100  4 1 0
42.1  20  2 0 2
42.5  34  3 3 0
43.3  87  2 1 2
45.4  40  4 1 1
46.6  38  3 3 1
46.8  24  2 2 2
49.1  21  3 1 2
74.0  20  6 0 2

Structure:
Cell lengths 9.018, 9.018, 4.888 Å; angles 90.00, 90.00, 90.00 degrees
Space group P4_2/mnm (No. 136)
Symmetry-distinct sites (fractional):
Co1 0.000 0.000 0.000 (multiplicity 2)
Co2 0.038 0.370 0.500 (multiplicity 8)
Co3 0.098 0.098 0.500 (multiplicity 4)
Re1 0.065 0.270 0.000 (multiplicity 8)
Re2 0.176 0.824 0.251 (multiplicity 8)